Structure and computed powder X-ray diffraction pattern of Tl6In3Hg14 (the PBE geometry in Alexandria; CuKα).

Largest 12 diffraction maxima, low angle first, 2θ from 10° to 90°:
2θ (°)  I (rel.)
29.6  9
32.9  100
34.3  86
37.2  11
48.3  30
57.8  17
60.5  27
61.4  13
69.0  9
72.3  7
79.4  10
81.7  9

Structure:
Cell lengths 10.457, 10.457, 6.814 Å; angles 90.00, 90.00, 120.00 degrees
Positions (direct):
Tl 0.168 0.336 0.000
Tl 0.168 0.832 0.000
Tl 0.281 0.140 0.678
Tl 0.664 0.832 0.000
Tl 0.860 0.140 0.678
Tl 0.860 0.719 0.678
In 0.000 0.000 0.325
In 0.333 0.667 0.711
In 0.667 0.333 0.053
Hg 0.182 0.364 0.490
Hg 0.182 0.818 0.490
Hg 0.327 0.164 0.175
Hg 0.333 0.667 0.193
Hg 0.509 0.019 0.324
Hg 0.509 0.491 0.324
Hg 0.511 0.021 0.811
Hg 0.511 0.489 0.811
Hg 0.636 0.818 0.490
Hg 0.667 0.333 0.566
Hg 0.836 0.164 0.175
Hg 0.836 0.673 0.175
Hg 0.979 0.489 0.811
Hg 0.981 0.491 0.324

Structure and computed powder X-ray diffraction pattern of K2PuPbF8 (the PBE geometry in Alexandria; CuKα).

Largest 12 diffraction maxima, low angle first, 2θ from 10° to 90°:
2θ (°)  I (rel.)
16.7  75
26.1  100
27.6  17
29.8  18
34.3  20
41.0  17
42.6  21
43.6  40
50.6  33
52.3  23
69.7  15
78.6  12

Structure:
Cell lengths 7.151, 7.151, 7.151 Å; angles 130.36, 130.36, 72.83 degrees
Positions (direct):
K 0.000 0.000 0.000
K 0.750 0.250 0.500
Pu 0.250 0.750 0.500
Pb 0.500 0.500 0.000
F 0.152 0.092 0.513
F 0.152 0.639 0.060
F 0.361 0.421 0.513
F 0.361 0.848 0.940
F 0.579 0.092 0.940
F 0.579 0.639 0.487
F 0.908 0.421 0.060
F 0.908 0.848 0.487

Structure and computed powder X-ray diffraction pattern of Be3Hg5 (the PBE geometry in Alexandria; CuKα).

Largest 12 diffraction maxima, low angle first, 2θ from 10° to 90°:
2θ (°)  I (rel.)
28.3  72
29.1  85
29.3  36
36.0  100
39.1  41
41.2  72
44.6  24
46.3  20
51.5  18
55.7  30
58.6  26
66.9  37

Structure:
Cell lengths 7.036, 7.036, 7.095 Å; angles 90.00, 90.00, 120.00 degrees
Positions (direct):
Be 0.000 0.411 0.250
Be 0.000 0.589 0.750
Be 0.411 0.000 0.250
Be 0.411 0.411 0.750
Be 0.589 0.000 0.750
Be 0.589 0.589 0.250
Hg 0.000 0.243 0.750
Hg 0.000 0.757 0.250
Hg 0.243 0.000 0.750
Hg 0.243 0.243 0.250
Hg 0.333 0.667 0.000
Hg 0.333 0.667 0.500
Hg 0.667 0.333 0.000
Hg 0.667 0.333 0.500
Hg 0.757 0.000 0.250
Hg 0.757 0.757 0.750

Structure and computed powder X-ray diffraction pattern of Li3Ag7 (the PBE geometry in Alexandria; CuKα).

Largest 12 diffraction maxima, low angle first, 2θ from 10° to 90°:
2θ (°)  I (rel.)
17.6  13
22.2  33
22.6  18
30.7  29
38.0  100
38.4  98
43.7  33
44.3  32
45.3  33
64.0  20
65.2  29
77.0  12

Structure:
Cell lengths 7.622, 7.622, 5.803 Å; angles 102.83, 102.83, 31.14 degrees
Positions (direct):
Li 0.000 0.000 0.000
Li 0.198 0.198 0.615
Li 0.802 0.802 0.385
Ag 0.000 0.000 0.500
Ag 0.201 0.201 0.112
Ag 0.396 0.396 0.689
Ag 0.401 0.401 0.192
Ag 0.599 0.599 0.808
Ag 0.604 0.604 0.311
Ag 0.799 0.799 0.888

Structure and computed powder X-ray diffraction pattern of KH3Au (the PBE geometry in Alexandria; CuKα).

Largest 12 diffraction maxima, low angle first, 2θ from 10° to 90°:
2θ (°)  I (rel.)
15.2  58
28.6  100
30.6  27
31.6  50
36.0  52
48.0  24
48.7  23
51.3  18
57.4  14
58.6  25
78.5  12
82.5  11

Structure:
Cell lengths 3.742, 3.742, 11.689 Å; angles 90.00, 90.00, 120.00 degrees
Positions (direct):
K 0.000 0.000 0.000
K 0.000 0.000 0.500
H 0.000 0.000 0.250
H 0.000 0.000 0.750
H 0.333 0.667 0.109
H 0.333 0.667 0.391
H 0.667 0.333 0.609
H 0.667 0.333 0.891
Au 0.333 0.667 0.250
Au 0.667 0.333 0.750

Structure and computed powder X-ray diffraction pattern of BeIF2 (the PBE geometry in Alexandria; CuKα).

Largest 12 diffraction maxima, low angle first, 2θ from 10° to 90°:
2θ (°)  I (rel.)
19.8  53
32.5  100
38.4  79
40.1  3
46.7  9
51.2  14
58.1  37
62.0  24
68.2  17
71.8  11
77.6  16
81.0  8

Structure:
Cell lengths 5.503, 5.503, 5.503 Å; angles 60.00, 60.00, 60.00 degrees
Positions (direct):
Be 0.125 0.125 0.125
Be 0.875 0.875 0.875
I 0.375 0.375 0.375
I 0.625 0.625 0.625
F 0.000 0.000 0.000
F 0.000 0.000 0.500
F 0.000 0.500 0.000
F 0.500 0.000 0.000

Structure and computed powder X-ray diffraction pattern of Ca2Cu5Si3 (the PBE geometry in Alexandria; CuKα).

Largest 12 diffraction maxima, low angle first, 2θ from 10° to 90°:
2θ (°)  I (rel.)
17.7  34
23.7  20
34.7  29
34.9  32
35.8  52
36.0  45
36.5  86
44.9  100
47.9  18
48.2  20
48.5  40
64.7  23

Structure:
Cell lengths 8.088, 8.088, 5.768 Å; angles 110.72, 110.72, 88.74 degrees
Positions (direct):
Ca 0.119 0.371 0.244
Ca 0.371 0.119 0.744
Ca 0.629 0.881 0.256
Ca 0.881 0.629 0.756
Cu 0.001 0.999 0.750
Cu 0.246 0.475 0.861
Cu 0.253 0.747 0.750
Cu 0.254 0.746 0.250
Cu 0.475 0.246 0.361
Cu 0.525 0.754 0.639
Cu 0.746 0.254 0.750
Cu 0.747 0.253 0.250
Cu 0.754 0.525 0.139
Cu 0.999 0.001 0.250
Si 0.003 0.744 0.374
Si 0.256 0.997 0.126
Si 0.499 0.501 0.250
Si 0.501 0.499 0.750
Si 0.744 0.003 0.874
Si 0.997 0.256 0.626